Record 1
Diffraction record for Sr2FeReO6. The PXRD pattern is theoretical, not measured: it uses a DFT-relaxed cell (PBE+U, the Materials Project) and copper Kα.
Lines closer than 0.1° are merged.

Atomic structure:
Unit cell a=11.255 b=16.313 c=7.950 alpha=90.00 beta=134.72 gamma=90.00
Space group C2 (No. 5)
Unique sites:
Sr  0.247  0.000  0.497 [4 per cell]
Sr  0.247  0.250  0.999 [4 per cell]
Sr  0.248  0.000  0.998 [4 per cell]
Sr  0.248  0.750  0.501 [4 per cell]
Fe  0.000  0.125  0.000 [2 per cell]
Fe  0.000  0.375  0.500 [2 per cell]
Fe  0.000  0.625  0.000 [2 per cell]
Fe  0.000  0.875  0.500 [2 per cell]
Re  0.000  0.126  0.500 [2 per cell]
Re  0.000  0.376  0.000 [2 per cell]
Re  0.000  0.624  0.500 [2 per cell]
Re  0.000  0.873  0.000 [2 per cell]
O  0.000  0.006  0.500 [2 per cell]
O  0.000  0.248  0.500 [2 per cell]
O  0.000  0.257  0.000 [2 per cell]
O  0.000  0.497  0.000 [2 per cell]
O  0.000  0.502  0.500 [2 per cell]
O  0.000  0.743  0.500 [2 per cell]
O  0.000  0.752  0.000 [2 per cell]
O  0.000  0.993  0.000 [2 per cell]
O  0.045  0.126  0.303 [4 per cell]
O  0.045  0.376  0.808 [4 per cell]
O  0.046  0.623  0.310 [4 per cell]
O  0.047  0.873  0.807 [4 per cell]
O  0.235  0.126  0.779 [4 per cell]
O  0.235  0.873  0.280 [4 per cell]
O  0.237  0.624  0.783 [4 per cell]
O  0.238  0.376  0.282 [4 per cell]

Peak list (10 most intense, 2θ from 5° to 70°, low angle first)
- 19.1°, I = 39, hkl 0 2 1
- 31.4°, I = 100, hkl 2 4 0
- 31.7°, I = 26, hkl 0 0 2
- 31.8°, I = 26, hkl 4 0 -2
- 44.4°, I = 17, hkl 0 8 0
- 45.4°, I = 15, hkl 4 0 0
- 45.6°, I = 15, hkl 4 0 -4
- 55.6°, I = 21, hkl 4 8 -2
- 56.1°, I = 11, hkl 2 4 2
- 56.3°, I = 20, hkl 6 4 -2


Record 2
Diffraction record for SrYCoO4. The PXRD pattern is theoretical, not measured: it uses a DFT-relaxed cell (PBE+U, the Materials Project) and copper Kα.
Lines closer than 0.1° are merged.

Atomic structure:
Unit cell a=6.827 b=7.656 c=8.496 alpha=63.99 beta=68.14 gamma=73.85
Space group P1 (No. 1)
Unique sites:
Sr  0.000  0.000  0.000 [1 per cell]
Sr  0.001  0.256  0.498 [1 per cell]
Sr  0.995  0.511  0.998 [1 per cell]
Sr  0.997  0.755  0.502 [1 per cell]
Y  0.567  0.409  0.867 [1 per cell]
Y  0.568  0.957  0.853 [1 per cell]
Y  0.577  0.693  0.348 [1 per cell]
Y  0.585  0.183  0.352 [1 per cell]
Co  0.277  0.097  0.182 [1 per cell]
Co  0.289  0.344  0.674 [1 per cell]
Co  0.316  0.589  0.174 [1 per cell]
Co  0.325  0.841  0.664 [1 per cell]
O  0.282  0.468  0.439 [1 per cell]
O  0.285  0.969  0.418 [1 per cell]
O  0.292  0.081  0.680 [1 per cell]
O  0.292  0.221  0.924 [1 per cell]
O  0.298  0.355  0.169 [1 per cell]
O  0.327  0.836  0.162 [1 per cell]
O  0.336  0.592  0.670 [1 per cell]
O  0.409  0.704  0.897 [1 per cell]
O  0.616  0.077  0.080 [1 per cell]
O  0.618  0.270  0.609 [1 per cell]
O  0.627  0.507  0.163 [1 per cell]
O  0.630  0.848  0.519 [1 per cell]
O  0.913  0.873  0.785 [1 per cell]
O  0.916  0.399  0.767 [1 per cell]
O  0.928  0.652  0.254 [1 per cell]
O  0.939  0.137  0.260 [1 per cell]

Peak list (10 most intense, 2θ from 5° to 70°, low angle first)
- 31.7°, I = 100, hkl 1 0 -2
- 32.9°, I = 33, hkl 0 2 -1
- 33.4°, I = 34, hkl 1 2 3
- 43.1°, I = 10, hkl 2 0 -2
- 43.2°, I = 18, hkl 3 0 0
- 44.4°, I = 10, hkl -1 2 3
- 47.5°, I = 18, hkl 1 4 2
- 47.6°, I = 18, hkl 1 0 4
- 58.0°, I = 14, hkl 1 2 -3
- 66.3°, I = 10, hkl -2 4 2